1.
Calculated powder diffractogram
Compound: DyY2Fe2Co6Ni
Radiation: λ = 1.5418 Å (Cu Kα)
Structure: a DFT-relaxed cell (GGA-PBE, OQMD)
Neutral-atom scattering factors, no anomalous dispersion.

Atomic structure:
Lattice parameters (Å, degrees): 8.534 8.534 8.534 34.22 34.22 34.22
Element x y z (fractional)
Dy: 0.000 0.000 0.000
Y: 0.140 0.140 0.140
Y: 0.860 0.860 0.860
Fe: 0.333 0.333 0.333
Fe: 0.667 0.667 0.667
Co: 0.081 0.580 0.580
Co: 0.420 0.420 0.919
Co: 0.420 0.919 0.420
Co: 0.580 0.081 0.580
Co: 0.580 0.580 0.081
Co: 0.919 0.420 0.420
Ni: 0.500 0.500 0.500

Peak list (12 most intense, 2θ from 10° to 90°, in order of rising 2θ)
- 2θ = 33.21°, I 34.1
- 2θ = 35.76°, I 41.0
- 2θ = 36.30°, I 34.3
- 2θ = 41.71°, I 37.6
- 2θ = 42.23°, I 17.4
- 2θ = 42.47°, I 100.0
- 2θ = 45.19°, I 17.3
- 2θ = 45.78°, I 12.6
- 2θ = 64.60°, I 12.4
- 2θ = 68.86°, I 22.1
- 2θ = 69.71°, I 12.4
- 2θ = 75.77°, I 20.6



2.
Calculated powder diffractogram
Compound: DyY2Fe2CoNi6
Radiation: λ = 1.5418 Å (Cu Kα)
Structure: a DFT-relaxed cell (GGA-PBE, OQMD)
Neutral-atom scattering factors, no anomalous dispersion.

Atomic structure:
Lattice parameters (Å, degrees): 8.590 8.590 8.590 33.83 33.83 33.83
Element x y z (fractional)
Dy: 0.000 0.000 0.000
Y: 0.140 0.140 0.140
Y: 0.860 0.860 0.860
Fe: 0.332 0.332 0.332
Fe: 0.668 0.668 0.668
Co: 0.500 0.500 0.500
Ni: 0.084 0.580 0.580
Ni: 0.420 0.420 0.916
Ni: 0.420 0.916 0.420
Ni: 0.580 0.084 0.580
Ni: 0.580 0.580 0.084
Ni: 0.916 0.420 0.420

Peak list (12 most intense, 2θ from 10° to 90°, in order of rising 2θ)
- 2θ = 33.10°, I 31.7
- 2θ = 35.94°, I 33.0
- 2θ = 36.15°, I 28.6
- 2θ = 41.91°, I 34.5
- 2θ = 42.51°, I 100.0
- 2θ = 44.81°, I 15.7
- 2θ = 45.91°, I 12.4
- 2θ = 49.73°, I 9.9
- 2θ = 64.74°, I 10.6
- 2θ = 69.13°, I 25.7
- 2θ = 69.46°, I 10.1
- 2θ = 76.19°, I 18.0



3.
Calculated powder diffractogram
Compound: Dy2TmFe8Co
Radiation: λ = 1.5418 Å (Cu Kα)
Structure: a DFT-relaxed cell (GGA-PBE, OQMD)
Neutral-atom scattering factors, no anomalous dispersion.

Atomic structure:
Lattice parameters (Å, degrees): 8.566 8.566 8.566 34.27 34.27 34.27
Element x y z (fractional)
Dy: 0.142 0.142 0.142
Dy: 0.858 0.858 0.858
Tm: 0.000 0.000 0.000
Fe: 0.082 0.581 0.581
Fe: 0.333 0.333 0.333
Fe: 0.419 0.419 0.918
Fe: 0.419 0.918 0.419
Fe: 0.581 0.082 0.581
Fe: 0.581 0.581 0.082
Fe: 0.667 0.667 0.667
Fe: 0.918 0.419 0.419
Co: 0.500 0.500 0.500

Peak list (12 most intense, 2θ from 10° to 90°, in order of rising 2θ)
- 2θ = 20.65°, I 14.1
- 2θ = 33.07°, I 52.3
- 2θ = 35.57°, I 57.2
- 2θ = 36.15°, I 36.3
- 2θ = 41.49°, I 38.1
- 2θ = 42.26°, I 100.0
- 2θ = 45.02°, I 11.5
- 2θ = 62.31°, I 17.0
- 2θ = 64.26°, I 13.5
- 2θ = 68.48°, I 22.6
- 2θ = 69.38°, I 13.1
- 2θ = 75.32°, I 20.4



4.
Calculated powder diffractogram
Compound: Dy2TmFe3Co6
Radiation: λ = 1.5418 Å (Cu Kα)
Structure: a DFT-relaxed cell (GGA-PBE, OQMD)
Neutral-atom scattering factors, no anomalous dispersion.

Atomic structure:
Lattice parameters (Å, degrees): 8.392 8.392 8.392 35.04 35.04 35.04
Element x y z (fractional)
Dy: 0.141 0.141 0.141
Dy: 0.859 0.859 0.859
Tm: 0.000 0.000 0.000
Fe: 0.333 0.333 0.333
Fe: 0.500 0.500 0.500
Fe: 0.667 0.667 0.667
Co: 0.081 0.582 0.582
Co: 0.418 0.418 0.919
Co: 0.418 0.919 0.418
Co: 0.582 0.081 0.582
Co: 0.582 0.582 0.081
Co: 0.919 0.418 0.418

Peak list (12 most intense, 2θ from 10° to 90°, in order of rising 2θ)
- 2θ = 20.65°, I 14.9
- 2θ = 33.55°, I 53.6
- 2θ = 35.54°, I 58.1
- 2θ = 36.74°, I 39.3
- 2θ = 41.45°, I 43.2
- 2θ = 42.53°, I 100.0
- 2θ = 58.68°, I 12.1
- 2θ = 62.56°, I 18.1
- 2θ = 64.61°, I 14.8
- 2θ = 68.63°, I 22.9
- 2θ = 70.51°, I 24.2
- 2θ = 75.23°, I 22.2



5.
Calculated powder diffractogram
Compound: Dy2TmFe6Co3
Radiation: λ = 1.5418 Å (Cu Kα)
Structure: a DFT-relaxed cell (GGA-PBE, OQMD)
Neutral-atom scattering factors, no anomalous dispersion.

Atomic structure:
Lattice parameters (Å, degrees): 8.616 8.616 8.616 33.93 33.93 33.93
Element x y z (fractional)
Dy: 0.142 0.142 0.142
Dy: 0.858 0.858 0.858
Tm: 0.000 0.000 0.000
Fe: 0.081 0.581 0.581
Fe: 0.419 0.419 0.919
Fe: 0.419 0.919 0.419
Fe: 0.581 0.081 0.581
Fe: 0.581 0.581 0.081
Fe: 0.919 0.419 0.419
Co: 0.332 0.332 0.332
Co: 0.500 0.500 0.500
Co: 0.668 0.668 0.668

Peak list (12 most intense, 2θ from 10° to 90°, in order of rising 2θ)
- 2θ = 20.72°, I 13.3
- 2θ = 32.97°, I 51.3
- 2θ = 35.72°, I 56.8
- 2θ = 36.01°, I 35.1
- 2θ = 41.65°, I 36.6
- 2θ = 42.30°, I 100.0
- 2θ = 44.68°, I 11.9
- 2θ = 62.43°, I 16.5
- 2θ = 64.36°, I 12.8
- 2θ = 68.69°, I 22.5
- 2θ = 69.15°, I 13.4
- 2θ = 75.66°, I 20.0



6.
Calculated powder diffractogram
Compound: Dy2YFe6Co3
Radiation: λ = 1.5418 Å (Cu Kα)
Structure: a DFT-relaxed cell (GGA-PBE, OQMD)
Neutral-atom scattering factors, no anomalous dispersion.

Atomic structure:
Lattice parameters (Å, degrees): 8.618 8.618 8.618 34.13 34.13 34.13
Element x y z (fractional)
Dy: 0.142 0.142 0.142
Dy: 0.858 0.858 0.858
Y: 0.000 0.000 0.000
Fe: 0.082 0.581 0.581
Fe: 0.419 0.419 0.918
Fe: 0.419 0.918 0.419
Fe: 0.581 0.082 0.581
Fe: 0.581 0.581 0.082
Fe: 0.918 0.419 0.419
Co: 0.332 0.332 0.332
Co: 0.500 0.500 0.500
Co: 0.668 0.668 0.668

Peak list (12 most intense, 2θ from 10° to 90°, in order of rising 2θ)
- 2θ = 10.91°, I 16.7
- 2θ = 32.90°, I 45.8
- 2θ = 35.50°, I 54.2
- 2θ = 35.95°, I 30.1
- 2θ = 41.40°, I 34.7
- 2θ = 42.11°, I 100.0
- 2θ = 43.94°, I 16.8
- 2θ = 45.42°, I 19.4
- 2θ = 45.97°, I 20.8
- 2θ = 62.10°, I 14.6
- 2θ = 68.28°, I 22.2
- 2θ = 75.14°, I 21.8



7.
Calculated powder diffractogram
Compound: Dy2YFe2Co7
Radiation: λ = 1.5418 Å (Cu Kα)
Structure: a DFT-relaxed cell (GGA-PBE, OQMD)
Neutral-atom scattering factors, no anomalous dispersion.

Atomic structure:
Lattice parameters (Å, degrees): 8.412 8.412 8.412 34.92 34.92 34.92
Element x y z (fractional)
Dy: 0.141 0.141 0.141
Dy: 0.859 0.859 0.859
Y: 0.000 0.000 0.000
Fe: 0.334 0.334 0.334
Fe: 0.666 0.666 0.666
Co: 0.081 0.582 0.582
Co: 0.418 0.418 0.919
Co: 0.418 0.919 0.418
Co: 0.500 0.500 0.500
Co: 0.582 0.081 0.582
Co: 0.582 0.582 0.081
Co: 0.919 0.418 0.418

Peak list (12 most intense, 2θ from 10° to 90°, in order of rising 2θ)
- 2θ = 11.21°, I 18.0
- 2θ = 33.50°, I 46.8
- 2θ = 35.56°, I 54.9
- 2θ = 36.67°, I 35.3
- 2θ = 41.48°, I 40.2
- 2θ = 42.51°, I 100.0
- 2θ = 44.16°, I 19.3
- 2θ = 45.71°, I 22.7
- 2θ = 47.06°, I 21.1
- 2θ = 68.65°, I 22.5
- 2θ = 70.37°, I 22.5
- 2θ = 75.29°, I 23.8



8.
Calculated powder diffractogram
Compound: DyGaCo
Radiation: λ = 1.5418 Å (Cu Kα)
Structure: a DFT-relaxed cell (GGA-PBE, OQMD)
Neutral-atom scattering factors, no anomalous dispersion.

Atomic structure:
Lattice parameters (Å, degrees): 7.046 4.419 6.833 90.00 90.00 90.00
Element x y z (fractional)
Dy: 0.025 0.250 0.195
Dy: 0.475 0.750 0.695
Dy: 0.525 0.250 0.305
Dy: 0.975 0.750 0.805
Ga: 0.195 0.250 0.608
Ga: 0.305 0.750 0.108
Ga: 0.695 0.250 0.892
Ga: 0.805 0.750 0.392
Co: 0.152 0.750 0.437
Co: 0.348 0.250 0.937
Co: 0.652 0.750 0.063
Co: 0.848 0.250 0.563

Peak list (12 most intense, 2θ from 10° to 90°, in order of rising 2θ)
- 2θ = 23.98°, I 24.3
- 2θ = 35.13°, I 100.0
- 2θ = 35.58°, I 62.5
- 2θ = 36.64°, I 26.6
- 2θ = 40.62°, I 22.2
- 2θ = 40.85°, I 41.2
- 2θ = 41.68°, I 17.0
- 2θ = 44.77°, I 30.4
- 2θ = 56.02°, I 15.5
- 2θ = 58.98°, I 19.6
- 2θ = 70.68°, I 12.9
- 2θ = 71.56°, I 17.7



9.
Calculated powder diffractogram
Compound: GdDyGaCo2
Radiation: λ = 1.5418 Å (Cu Kα)
Structure: a DFT-relaxed cell (GGA-PBE, OQMD)
Neutral-atom scattering factors, no anomalous dispersion.

Atomic structure:
Lattice parameters (Å, degrees): 3.879 6.840 6.840 32.08 90.00 90.00
Element x y z (fractional)
Gd: 0.000 0.000 0.000
Dy: 0.000 0.263 0.263
Ga: 0.500 0.632 0.632
Co: 0.500 0.428 0.428
Co: 0.500 0.832 0.832

Peak list (12 most intense, 2θ from 10° to 90°, in order of rising 2θ)
- 2θ = 27.13°, I 15.5
- 2θ = 31.25°, I 29.3
- 2θ = 33.80°, I 100.0
- 2θ = 35.81°, I 74.8
- 2θ = 39.11°, I 47.7
- 2θ = 41.85°, I 35.8
- 2θ = 46.84°, I 24.9
- 2θ = 48.15°, I 22.9
- 2θ = 54.56°, I 11.6
- 2θ = 61.43°, I 30.7
- 2θ = 64.60°, I 18.9
- 2θ = 69.43°, I 14.9



10.
Calculated powder diffractogram
Compound: DyHoGa4Co2
Radiation: λ = 1.5418 Å (Cu Kα)
Structure: a DFT-relaxed cell (GGA-PBE, OQMD)
Neutral-atom scattering factors, no anomalous dispersion.

Atomic structure:
Lattice parameters (Å, degrees): 6.857 5.393 5.393 43.79 90.00 90.00
Element x y z (fractional)
Dy: 0.000 0.000 0.000
Ho: 0.500 0.867 0.867
Ga: 0.196 0.283 0.283
Ga: 0.304 0.584 0.584
Ga: 0.696 0.584 0.584
Ga: 0.804 0.283 0.283
Co: 0.000 0.720 0.720
Co: 0.500 0.148 0.148

Peak list (12 most intense, 2θ from 10° to 90°, in order of rising 2θ)
- 2θ = 23.84°, I 15.1
- 2θ = 34.94°, I 23.2
- 2θ = 35.55°, I 100.0
- 2θ = 37.40°, I 77.7
- 2θ = 38.29°, I 44.5
- 2θ = 43.53°, I 24.2
- 2θ = 45.08°, I 33.5
- 2θ = 53.68°, I 15.6
- 2θ = 60.59°, I 22.8
- 2θ = 66.28°, I 17.7
- 2θ = 69.82°, I 16.5
- 2θ = 79.75°, I 17.7



11.
Calculated powder diffractogram
Compound: DyInGa4Co
Radiation: λ = 1.5418 Å (Cu Kα)
Structure: a DFT-relaxed cell (GGA-PBE, OQMD)
Neutral-atom scattering factors, no anomalous dispersion.

Atomic structure:
Lattice parameters (Å, degrees): 4.324 4.324 6.854 90.00 90.00 90.00
Element x y z (fractional)
Dy: 0.000 0.000 0.000
In: 0.500 0.500 0.000
Ga: 0.000 0.500 0.314
Ga: 0.000 0.500 0.686
Ga: 0.500 0.000 0.314
Ga: 0.500 0.000 0.686
Co: 0.000 0.000 0.500

Peak list (12 most intense, 2θ from 10° to 90°, in order of rising 2θ)
- 2θ = 12.92°, I 10.1
- 2θ = 20.54°, I 8.5
- 2θ = 32.05°, I 54.1
- 2θ = 39.49°, I 100.0
- 2θ = 41.78°, I 48.0
- 2θ = 58.80°, I 20.7
- 2θ = 60.56°, I 15.5
- 2θ = 62.10°, I 8.8
- 2θ = 70.07°, I 5.4
- 2θ = 70.18°, I 11.2
- 2θ = 74.73°, I 34.3
- 2θ = 76.10°, I 9.3



12.
Calculated powder diffractogram
Compound: DyIn4GaCo
Radiation: λ = 1.5418 Å (Cu Kα)
Structure: a DFT-relaxed cell (GGA-PBE, OQMD)
Neutral-atom scattering factors, no anomalous dispersion.

Atomic structure:
Lattice parameters (Å, degrees): 4.498 4.498 7.433 90.00 90.00 90.00
Element x y z (fractional)
Dy: 0.000 0.000 0.000
In: 0.000 0.500 0.303
In: 0.000 0.500 0.697
In: 0.500 0.000 0.303
In: 0.500 0.000 0.697
Ga: 0.500 0.500 0.000
Co: 0.000 0.000 0.500

Peak list (12 most intense, 2θ from 10° to 90°, in order of rising 2θ)
- 2θ = 19.74°, I 12.6
- 2θ = 30.57°, I 40.1
- 2θ = 31.22°, I 8.0
- 2θ = 36.26°, I 19.3
- 2θ = 37.21°, I 100.0
- 2θ = 40.09°, I 53.4
- 2θ = 55.15°, I 22.6
- 2θ = 57.99°, I 17.5
- 2θ = 66.98°, I 8.4
- 2θ = 69.84°, I 14.1
- 2θ = 70.34°, I 10.8
- 2θ = 70.95°, I 28.7



13.
Calculated powder diffractogram
Compound: DyTmGaCo2
Radiation: λ = 1.5418 Å (Cu Kα)
Structure: a DFT-relaxed cell (GGA-PBE, OQMD)
Neutral-atom scattering factors, no anomalous dispersion.

Atomic structure:
Lattice parameters (Å, degrees): 3.853 6.768 6.768 32.08 90.00 90.00
Element x y z (fractional)
Dy: 0.000 0.000 0.000
Tm: 0.000 0.733 0.733
Ga: 0.500 0.366 0.366
Co: 0.500 0.169 0.169
Co: 0.500 0.568 0.568

Peak list (12 most intense, 2θ from 10° to 90°, in order of rising 2θ)
- 2θ = 27.42°, I 17.5
- 2θ = 31.59°, I 31.2
- 2θ = 34.11°, I 100.0
- 2θ = 36.14°, I 72.1
- 2θ = 39.49°, I 52.3
- 2θ = 42.32°, I 32.4
- 2θ = 47.18°, I 25.0
- 2θ = 48.69°, I 23.1
- 2θ = 62.12°, I 29.5
- 2θ = 65.22°, I 17.2
- 2θ = 70.13°, I 14.9
- 2θ = 82.48°, I 13.7



14.
Calculated powder diffractogram
Compound: GdDyMg3Co2
Radiation: λ = 1.5418 Å (Cu Kα)
Structure: a DFT-relaxed cell (GGA-PBE, OQMD)
Neutral-atom scattering factors, no anomalous dispersion.

Atomic structure:
Lattice parameters (Å, degrees): 3.801 10.646 10.646 20.63 90.00 90.00
Element x y z (fractional)
Gd: 0.000 0.000 0.000
Dy: 0.000 0.647 0.647
Mg: 0.000 0.824 0.824
Mg: 0.500 0.242 0.242
Mg: 0.500 0.404 0.404
Co: 0.500 0.106 0.106
Co: 0.500 0.543 0.543

Peak list (12 most intense, 2θ from 10° to 90°, in order of rising 2θ)
- 2θ = 25.51°, I 23.6
- 2θ = 26.64°, I 40.6
- 2θ = 31.73°, I 21.6
- 2θ = 33.56°, I 53.7
- 2θ = 34.89°, I 75.8
- 2θ = 35.75°, I 100.0
- 2θ = 39.80°, I 61.8
- 2θ = 45.67°, I 25.7
- 2θ = 47.70°, I 23.7
- 2θ = 47.86°, I 23.5
- 2θ = 53.80°, I 21.9
- 2θ = 60.45°, I 30.3